1.
Computed X-ray diffraction stick pattern of Y5BSe4 for CuKα, from DFT lattice parameters and positions (PBE).
Kinematic intensities with the Lorentz-polarization factor, no thermal factor.

Structure:
Cell: 9.070 9.070 5.701 Å, 90.00 90.00 90.00°
Space group I4/m (No. 87)
Symmetry-distinct sites (fractional):
Y (0.000, 0.000, 0.000) x2
Y (0.092, 0.731, 0.500) x8
B (0.000, 0.000, 0.500) x2
Se (0.093, 0.695, 0.000) x8

Top 8 peaks for 2θ = 15–90°, most intense first:
2θ (°), d/Å, intensity, h k l
31.2, 2.868, 100.0, 3 1 0
44.8, 2.022, 71.4, 3 1 2
31.4, 2.851, 51.2, 0 0 2
55.6, 1.652, 31.6, 2 4 2
44.7, 2.028, 30.7, 2 4 0
74.3, 1.276, 15.4, 3 1 4
82.5, 1.170, 14.8, 1 7 2
27.0, 3.305, 13.2, 2 1 1

=====

2.
Computed X-ray diffraction stick pattern of HoZn17Ag for CuKα, from DFT lattice parameters and positions (PBE).
Kinematic intensities with the Lorentz-polarization factor, no thermal factor.

Structure:
Cell: 8.9108 8.9108 13.3371 Å, 90.00 90.00 120.00°
Space group R3m (No. 160, hexagonal axes)
Symmetry-distinct sites (fractional):
Ho (0.0000, 0.0000, 0.0000) x3
Zn (0.0000, 0.0000, 0.2367) x3
Zn (0.0000, 0.0000, 0.4359) x3
Zn (0.0025, 0.5012, 0.4918) x9
Zn (0.0057, 0.5028, 0.8271) x9
Zn (0.0114, 0.3175, 0.3326) x18
Zn (0.1688, 0.3376, 0.5141) x9
Ag (0.0000, 0.0000, 0.7470) x3

Top 8 peaks for 2θ = 15–90°, most intense first:
2θ (°), d/Å, intensity, h k l
40.5, 2.226, 100.0, 0 0 6
45.6, 1.991, 47.3, 2 2 3
34.9, 2.572, 25.7, 3 0 0
35.6, 2.523, 20.5, 0 2 4
41.1, 2.195, 18.4, 2 0 5
73.7, 1.286, 13.8, 6 0 0
87.6, 1.113, 10.6, 4 4 0
73.8, 1.284, 10.4, 0 3 9

=====

3.
Computed X-ray diffraction stick pattern of Sn2GeTe2 for CuKα, from DFT lattice parameters and positions (PBE).
Kinematic intensities with the Lorentz-polarization factor, no thermal factor.

Structure:
Cell: 8.262 8.262 4.362 Å, 90.00 90.00 90.00°
Space group P4/mbm (No. 127)
Symmetry-distinct sites (fractional):
Sn (0.147, 0.353, 0.000) x4
Ge (0.000, 0.000, 0.500) x2
Te (0.167, 0.667, 0.500) x4

Top 8 peaks for 2θ = 15–90°, most intense first:
2θ (°), d/Å, intensity, h k l
31.7, 2.819, 100.0, 2 1 1
34.3, 2.613, 33.0, 3 1 0
54.8, 1.674, 17.4, 3 1 2
50.1, 1.821, 16.9, 4 1 1
64.4, 1.447, 16.8, 5 2 1
41.4, 2.181, 14.1, 0 0 2
69.5, 1.353, 10.7, 2 1 3
46.6, 1.947, 9.2, 3 3 0

=====

4.
Computed X-ray diffraction stick pattern of DyHo2O4 for CuKα, from DFT lattice parameters and positions (PBE).
Kinematic intensities with the Lorentz-polarization factor, no thermal factor.

Structure:
Cell: 11.901 3.420 5.835 Å, 90.00 117.21 90.00°
Space group C2/m (No. 12)
Symmetry-distinct sites (fractional):
Dy (0.000, 0.000, 0.000) x2
Ho (0.202, 0.500, 0.701) x4
O (0.135, 0.000, 0.429) x4
O (0.146, 0.500, 0.021) x4

Top 8 peaks for 2θ = 15–90°, most intense first:
2θ (°), d/Å, intensity, h k l
30.3, 2.950, 100.0, 1 1 -1
36.6, 2.455, 51.7, 3 1 0
30.7, 2.915, 49.3, 2 0 -2
29.1, 3.069, 41.6, 2 0 1
30.1, 2.970, 41.4, 4 0 -1
47.8, 1.902, 26.6, 1 1 2
54.3, 1.690, 26.6, 3 1 -3
49.1, 1.855, 24.4, 5 1 -2

=====

5.
Computed X-ray diffraction stick pattern of Mg5In for CuKα, from DFT lattice parameters and positions (PBE).
Kinematic intensities with the Lorentz-polarization factor, no thermal factor.

Structure:
Cell: 5.216 3.327 15.949 Å, 90.00 90.00 90.00°
Space group Amm2 (No. 38)
Symmetry-distinct sites (fractional):
Mg (0.000, 0.000, 0.000) x2
Mg (0.000, 0.000, 0.331) x2
Mg (0.500, 0.000, 0.117) x2
Mg (0.500, 0.000, 0.449) x2
Mg (0.500, 0.000, 0.781) x2
In (0.000, 0.000, 0.666) x2

Top 8 peaks for 2θ = 15–90°, most intense first:
2θ (°), d/Å, intensity, h k l
36.2, 2.481, 100.0, 1 1 3
38.0, 2.368, 34.3, 1 0 6
20.3, 4.365, 33.1, 1 0 2
34.4, 2.608, 32.3, 2 0 0
31.7, 2.820, 25.3, 0 1 3
17.0, 5.216, 24.7, 1 0 0
32.4, 2.762, 20.6, 1 1 1
62.8, 1.480, 17.4, 3 1 3

=====

6.
Computed X-ray diffraction stick pattern of Sr3BCNCl2 for CuKα, from DFT lattice parameters and positions (PBE).
Kinematic intensities with the Lorentz-polarization factor, no thermal factor.

Structure:
Cell: 14.811 4.097 11.698 Å, 90.00 90.00 90.00°
Space group Pnma (No. 62)
Symmetry-distinct sites (fractional):
Sr (0.109, 0.250, 0.135) x4
Sr (0.141, 0.750, 0.437) x4
Sr (0.179, 0.750, 0.801) x4
B (0.243, 0.750, 0.107) x4
C (0.212, 0.750, 0.224) x4
N (0.239, 0.250, 0.492) x4
Cl (0.004, 0.750, 0.640) x4
Cl (0.047, 0.250, 0.892) x4

Top 8 peaks for 2θ = 15–90°, most intense first:
2θ (°), d/Å, intensity, h k l
32.3, 2.775, 100.0, 3 1 2
29.3, 3.044, 62.3, 3 1 1
25.8, 3.450, 44.4, 2 0 3
32.6, 2.747, 44.1, 4 1 0
29.2, 3.060, 41.4, 3 0 3
44.2, 2.048, 39.1, 0 2 0
23.0, 3.867, 31.0, 0 1 1
23.6, 3.771, 25.6, 1 0 3

=====

7.
Computed X-ray diffraction stick pattern of Rb7Au2ClO2 for CuKα, from DFT lattice parameters and positions (PBE).
Kinematic intensities with the Lorentz-polarization factor, no thermal factor.

Structure:
Cell: 4.855 25.842 7.378 Å, 90.00 90.00 90.00°
Space group Imm2 (No. 44)
Symmetry-distinct sites (fractional):
Rb (0.000, 0.000, 0.000) x2
Rb (0.000, 0.079, 0.476) x4
Rb (0.000, 0.204, 0.194) x4
Rb (0.000, 0.386, 0.457) x4
Au (0.000, 0.198, 0.689) x4
Cl (0.000, 0.500, 0.171) x2
O (0.000, 0.100, 0.137) x4

Top 8 peaks for 2θ = 15–90°, most intense first:
2θ (°), d/Å, intensity, h k l
25.1, 3.543, 100.0, 0 2 2
32.2, 2.780, 67.4, 1 3 2
37.0, 2.429, 42.7, 2 0 0
30.4, 2.939, 35.1, 1 7 0
21.0, 4.231, 33.3, 1 3 0
25.9, 3.435, 25.3, 1 4 1
55.8, 1.646, 24.6, 1 13 2
34.7, 2.584, 22.9, 0 10 0

=====

8.
Computed X-ray diffraction stick pattern of SrMg6CdO8 for CuKα, from DFT lattice parameters and positions (PBE).
Kinematic intensities with the Lorentz-polarization factor, no thermal factor.

Structure:
Cell: 4.552 4.552 8.911 Å, 90.00 90.00 90.00°
Space group P4/mmm (No. 123)
Symmetry-distinct sites (fractional):
Sr (0.000, 0.000, 0.000) x1
Mg (0.000, 0.000, 0.500) x1
Mg (0.000, 0.500, 0.268) x4
Mg (0.500, 0.500, 0.500) x1
Cd (0.500, 0.500, 0.000) x1
O (0.000, 0.000, 0.274) x2
O (0.000, 0.500, 0.000) x2
O (0.000, 0.500, 0.500) x2
O (0.500, 0.500, 0.269) x2

Top 8 peaks for 2θ = 15–90°, most intense first:
2θ (°), d/Å, intensity, h k l
39.6, 2.276, 100.0, 2 0 0
34.4, 2.609, 62.9, 1 1 2
57.9, 1.592, 53.8, 2 0 4
29.5, 3.027, 44.6, 1 1 1
40.5, 2.228, 43.0, 0 0 4
57.2, 1.609, 30.3, 2 2 0
19.9, 4.456, 30.1, 0 0 2
72.4, 1.305, 25.7, 2 2 4

=====

9.
Computed X-ray diffraction stick pattern of La2CdIn3 for CuKα, from DFT lattice parameters and positions (PBE).
Kinematic intensities with the Lorentz-polarization factor, no thermal factor.

Structure:
Cell: 7.784 10.052 17.361 Å, 90.00 90.00 90.00°
Space group Fmmm (No. 69)
Symmetry-distinct sites (fractional):
La (0.249, 0.000, 0.000) x8
La (0.250, 0.250, 0.250) x8
Cd (0.000, 0.000, 0.167) x8
In (0.000, 0.000, 0.333) x8
In (0.000, 0.249, 0.084) x16

Top 8 peaks for 2θ = 15–90°, most intense first:
2θ (°), d/Å, intensity, h k l
30.8, 2.899, 100.0, 2 2 2
35.8, 2.509, 71.5, 0 4 0
60.2, 1.538, 30.5, 4 4 0
47.9, 1.897, 28.9, 2 4 4
61.2, 1.514, 18.3, 2 6 2
46.7, 1.946, 11.1, 4 0 0
61.3, 1.512, 9.1, 2 2 10
64.2, 1.450, 8.4, 0 6 6

=====

10.
Computed X-ray diffraction stick pattern of K2CuSnS4 for CuKα, from DFT lattice parameters and positions (PBE).
Kinematic intensities with the Lorentz-polarization factor, no thermal factor.

Structure:
Cell: 7.815 7.815 6.632 Å, 90.00 90.00 90.00°
Space group I-42m (No. 121)
Symmetry-distinct sites (fractional):
K (0.000, 0.500, 0.000) x4
Cu (0.000, 0.000, 0.000) x2
Sn (0.000, 0.000, 0.500) x2
S (0.157, 0.157, 0.757) x8

Top 8 peaks for 2θ = 15–90°, most intense first:
2θ (°), d/Å, intensity, h k l
35.5, 2.528, 100.0, 2 0 2
16.0, 5.526, 74.1, 1 1 0
22.8, 3.908, 72.3, 2 0 0
32.4, 2.763, 52.7, 2 2 0
28.9, 3.092, 45.4, 2 1 1
42.6, 2.123, 38.4, 2 2 2
54.5, 1.683, 34.6, 4 0 2
45.8, 1.982, 30.9, 3 1 2

=====

11.
Computed X-ray diffraction stick pattern of MgTa2Se4I2 for CuKα, from DFT lattice parameters and positions (PBE).
Kinematic intensities with the Lorentz-polarization factor, no thermal factor.

Structure:
Cell: 3.6309 3.6309 22.5827 Å, 90.00 90.00 120.00°
Space group P3m1 (No. 156)
Symmetry-distinct sites (fractional):
Mg (0.0000, 0.0000, 0.0000) x1
Ta (0.0000, 0.0000, 0.6449) x1
Ta (0.6667, 0.3333, 0.3326) x1
Se (0.0000, 0.0000, 0.2602) x1
Se (0.0000, 0.0000, 0.4046) x1
Se (0.6667, 0.3333, 0.5729) x1
Se (0.6667, 0.3333, 0.7173) x1
I (0.6667, 0.3333, 0.0856) x1
I (0.6667, 0.3333, 0.9143) x1

Top 8 peaks for 2θ = 15–90°, most intense first:
2θ (°), d/Å, intensity, h k l
34.8, 2.581, 100.0, 1 0 5
28.4, 3.144, 63.1, 1 0 0
43.1, 2.101, 58.6, 1 0 8
50.3, 1.815, 44.0, 1 1 0
32.6, 2.747, 30.8, 0 1 4
15.7, 5.646, 30.2, 0 0 4
30.8, 2.901, 18.7, 1 0 3
62.6, 1.485, 18.1, 0 2 5

=====

12.
Computed X-ray diffraction stick pattern of ZrFe2Au for CuKα, from DFT lattice parameters and positions (PBE).
Kinematic intensities with the Lorentz-polarization factor, no thermal factor.

Structure:
Cell: 4.034 4.034 3.751 Å, 90.00 90.00 90.00°
Space group P4/mmm (No. 123)
Symmetry-distinct sites (fractional):
Zr (0.000, 0.000, 0.000) x1
Fe (0.000, 0.500, 0.500) x2
Au (0.500, 0.500, 0.000) x1

Top 8 peaks for 2θ = 15–90°, most intense first:
2θ (°), d/Å, intensity, h k l
39.7, 2.270, 100.0, 1 1 1
44.9, 2.017, 34.9, 2 0 0
79.3, 1.208, 25.4, 3 1 1
68.3, 1.373, 19.4, 2 0 2
31.4, 2.852, 16.7, 1 1 0
23.7, 3.751, 16.5, 0 0 1
48.5, 1.875, 13.9, 0 0 2
22.0, 4.034, 13.8, 1 0 0